(1)
# Th4Zn5Cu2
Calculated powder X-ray diffraction pattern, CuKα. Input: a PBE-relaxed structure.

Structure:
```
Th4Zn5Cu2
1.0
7.050 0.000 0.000
0.000 3.840 0.000
-0.555 0.000 9.119
Th Zn Cu
4 5 2
Direct
0.175 0.000 0.372
0.257 0.000 0.938
0.743 0.000 0.062
0.825 0.000 0.628
0.198 0.500 0.657
0.441 0.500 0.200
0.500 0.500 0.500
0.559 0.500 0.800
0.802 0.500 0.343
0.063 0.500 0.135
0.937 0.500 0.865
```

The 12 most intense peaks (2θ from 15° to 90°), by intensity:
2θ/deg	I_rel
32.57	100.0
33.52	83.7
34.57	71.9
39.18	41.5
36.43	39.1
47.34	38.5
40.37	37.8
22.58	37.4
40.86	34.5
37.75	33.6
25.31	30.9
39.07	29.2

***

(2)
# Th3ZrCu7
Calculated powder X-ray diffraction pattern, CuKα. Input: a PBE-relaxed structure.

Structure:
```
Th3ZrCu7
1.0
1.747 -9.784 0.000
1.747 9.784 0.000
0.000 0.000 12.725
Th Zr Cu
6 2 14
Direct
0.117 0.883 0.546
0.117 0.883 0.954
0.240 0.760 0.250
0.760 0.240 0.750
0.883 0.117 0.046
0.883 0.117 0.454
0.029 0.971 0.250
0.971 0.029 0.750
0.273 0.727 0.554
0.273 0.727 0.946
0.376 0.624 0.654
0.376 0.624 0.846
0.413 0.587 0.250
0.496 0.504 0.593
0.496 0.504 0.907
0.504 0.496 0.093
0.504 0.496 0.407
0.587 0.413 0.750
0.624 0.376 0.154
0.624 0.376 0.346
0.727 0.273 0.054
0.727 0.273 0.446
```

The 12 most intense peaks (2θ from 15° to 90°), by intensity:
2θ/deg	I_rel
33.54	100.0
37.28	80.6
22.91	73.3
36.74	39.7
45.19	36.5
35.14	35.3
52.36	28.1
46.81	28.0
36.48	27.4
32.29	25.0
57.32	24.1
29.84	19.8

***

(3)
# TiCu4
Calculated powder X-ray diffraction pattern, CuKα. Input: a PBE-relaxed structure.

Structure:
```
TiCu4
1.0
4.536 0.000 0.000
0.000 4.351 0.000
0.000 0.000 12.943
Ti Cu
4 16
Direct
0.153 0.250 0.097
0.347 0.750 0.597
0.653 0.250 0.403
0.847 0.750 0.903
0.154 0.250 0.299
0.159 0.250 0.503
0.174 0.250 0.701
0.177 0.250 0.895
0.323 0.750 0.395
0.326 0.750 0.201
0.341 0.750 0.003
0.346 0.750 0.799
0.654 0.250 0.201
0.659 0.250 0.997
0.674 0.250 0.799
0.677 0.250 0.605
0.823 0.750 0.105
0.826 0.750 0.299
0.841 0.750 0.497
0.846 0.750 0.701
```

The 12 most intense peaks (2θ from 15° to 90°), by intensity:
2θ/deg	I_rel
45.41	100.0
45.08	53.9
41.51	45.2
40.11	26.4
78.48	17.3
87.05	17.3
59.09	15.3
72.38	14.5
39.74	11.3
78.24	9.2
87.75	8.6
73.12	7.1

***

(4)
# TiTlCu
Calculated powder X-ray diffraction pattern, CuKα. Input: a PBE-relaxed structure.

Structure:
```
TiTlCu
1.0
4.613 0.000 0.000
0.000 4.613 0.000
-2.295 0.000 10.814
Ti Tl Cu
4 4 4
Direct
0.213 0.000 0.425
0.287 0.500 0.575
0.713 0.500 0.425
0.787 0.000 0.575
0.070 0.001 0.137
0.430 0.501 0.863
0.570 0.501 0.137
0.930 0.001 0.863
0.151 0.500 0.301
0.349 0.000 0.699
0.651 0.000 0.301
0.849 0.500 0.699
```

The 12 most intense peaks (2θ from 15° to 90°), by intensity:
2θ/deg	I_rel
40.20	100.0
27.66	64.2
39.05	56.4
71.53	44.5
56.42	18.9
30.07	18.8
52.13	17.2
33.14	15.2
73.83	14.4
24.70	13.0
63.97	12.8
46.76	9.9

***

(5)
# TiZnCu3
Calculated powder X-ray diffraction pattern, CuKα. Input: a PBE-relaxed structure.

Structure:
```
TiZnCu3
1.0
4.363 0.000 0.000
0.006 4.368 0.000
2.176 -0.001 6.948
Ti Zn Cu
2 2 6
Direct
0.000 0.000 0.000
0.299 0.500 0.413
0.503 0.501 0.003
0.796 0.002 0.410
0.105 0.499 0.802
0.193 0.999 0.612
0.397 0.000 0.207
0.601 0.004 0.795
0.698 0.504 0.617
0.902 0.501 0.206
```

The 12 most intense peaks (2θ from 15° to 90°), by intensity:
2θ/deg	I_rel
43.83	100.0
41.37	60.1
77.12	20.6
59.94	18.5
77.21	12.3
82.26	10.0
67.40	6.1
82.22	3.4
89.82	2.8
89.96	2.8
24.07	1.4
25.64	0.6

***

(6)
# Ti3Zn7Cu
Calculated powder X-ray diffraction pattern, CuKα. Input: a PBE-relaxed structure.

Structure:
```
Ti3Zn7Cu
1.0
1.327 -9.601 0.000
1.327 9.601 0.000
0.000 0.000 13.305
Ti Zn Cu
6 14 2
Direct
0.122 0.878 0.549
0.122 0.878 0.951
0.269 0.731 0.250
0.731 0.269 0.750
0.878 0.122 0.049
0.878 0.122 0.451
0.260 0.740 0.578
0.260 0.740 0.922
0.372 0.628 0.655
0.372 0.628 0.845
0.410 0.590 0.250
0.497 0.503 0.592
0.497 0.503 0.908
0.503 0.497 0.092
0.503 0.497 0.408
0.590 0.410 0.750
0.628 0.372 0.155
0.628 0.372 0.345
0.740 0.260 0.078
0.740 0.260 0.422
0.033 0.967 0.250
0.967 0.033 0.750
```

The 12 most intense peaks (2θ from 15° to 90°), by intensity:
2θ/deg	I_rel
39.86	100.0
37.47	69.4
45.03	53.8
39.13	53.1
34.99	47.3
43.62	44.2
44.27	35.1
59.37	27.5
40.69	27.5
43.89	25.9
34.09	22.8
55.53	22.6